K2CoH4Se2O10: simulated PXRD pattern (Cu Kα (λ = 1.5418 Å)), based on a DFT-relaxed cell (GGA+U, Alexandria).
Kinematic intensities with the Lorentz-polarization factor, no thermal factor.

Cell and atoms:
Cell lengths 5.6418, 6.6905, 7.7667 Å; angles 113.22, 96.81, 104.18 degrees
Positions (direct):
K: 0.2316 0.3104 0.2371
K: 0.7684 0.6896 0.7629
Co: 0.5000 0.0000 0.5000
H: 0.3516 0.8378 0.1157
H: 0.3615 0.0317 0.8037
H: 0.6385 0.9683 0.1963
H: 0.6484 0.1622 0.8843
Se: 0.1311 0.3103 0.7244
Se: 0.8689 0.6897 0.2756
O: 0.1103 0.1361 0.8331
O: 0.1500 0.7427 0.4172
O: 0.2286 0.5859 0.8807
O: 0.3402 0.2712 0.5838
O: 0.4714 0.9835 0.2184
O: 0.5286 0.0165 0.7816
O: 0.6598 0.7288 0.4162
O: 0.7714 0.4141 0.1193
O: 0.8500 0.2573 0.5828
O: 0.8897 0.8639 0.1669

Peak list (12 most intense, 10 to 90 degrees two-theta, in order of rising 2θ)
| 2theta | Rel. int. | index |
| --- | --- | --- |
| 12.8 | 36.6 | 0 0 1 |
| 15.0 | 100.0 | 0 1 -1 |
| 23.4 | 67.7 | 0 1 -2 |
| 24.2 | 32.5 | -1 1 1 |
| 25.7 | 31.6 | 0 0 2 |
| 26.1 | 86.0 | 1 1 0 |
| 28.1 | 33.2 | 1 1 -2 |
| 29.9 | 48.0 | 1 -2 0 |
| 32.3 | 41.7 | 2 -1 0 |
| 33.1 | 21.4 | 2 0 -1 |
| 34.1 | 29.5 | -1 1 2 |
| 48.9 | 18.6 | 0 2 2 |

=====

K2CoH2Se2O10: simulated PXRD pattern (Cu Kα (λ = 1.5418 Å)), based on a DFT-relaxed cell (GGA+U, Alexandria).
Kinematic intensities with the Lorentz-polarization factor, no thermal factor.

Cell and atoms:
Cell lengths 5.4945, 6.6646, 7.7153 Å; angles 106.46, 95.93, 104.82 degrees
Positions (direct):
K: 0.2070 0.3247 0.2253
K: 0.7930 0.6753 0.7747
Co: 0.5000 0.0000 0.5000
H: 0.3895 0.0006 0.7820
H: 0.6105 0.9994 0.2180
Se: 0.1486 0.2741 0.7247
Se: 0.8514 0.7259 0.2753
O: 0.1171 0.7773 0.4307
O: 0.1348 0.0981 0.8424
O: 0.2342 0.5319 0.8583
O: 0.3898 0.2586 0.5959
O: 0.4804 0.0519 0.2849
O: 0.5196 0.9481 0.7151
O: 0.6102 0.7415 0.4041
O: 0.7658 0.4681 0.1417
O: 0.8652 0.9019 0.1576
O: 0.8829 0.2227 0.5693

Peak list (12 most intense, 10 to 90 degrees two-theta, in order of rising 2θ)
| 2theta | Rel. int. | index |
| --- | --- | --- |
| 12.2 | 46.3 | 0 0 1 |
| 15.7 | 100.0 | 0 1 -1 |
| 22.8 | 30.0 | 1 0 1 |
| 23.3 | 24.4 | -1 1 1 |
| 24.1 | 36.7 | 0 1 -2 |
| 24.5 | 31.4 | 0 0 2 |
| 25.6 | 74.2 | 1 1 0 |
| 29.2 | 36.5 | 1 -2 0 |
| 29.5 | 22.0 | 1 1 -2 |
| 32.2 | 25.3 | -1 1 2 |
| 33.1 | 35.4 | 2 -1 0 |
| 34.1 | 29.3 | 1 -2 2 |